Structure and computed X-ray powder pattern of Li4Mn3Cr3Fe2O16 (a PBE+U-relaxed structure; Cu Kα (weighted mean of Kα1 and Kα2)).
Lines closer than 0.1° are merged.

Crystal structure
```
28
Lattice="5.8617 0.0000 0.0000 -2.9285 5.0835 0.0000 -0.0483 -0.0699 9.5126" Properties=species:S:1:pos:R:3 pbc="T T T"
Li 0.0000 0.0000 0.0000
Li -0.0330 -0.0149 4.7651
Li -0.0143 3.3994 5.7494
Li 2.9193 1.7613 0.9938
Mn -1.4626 4.2376 2.6868
Mn 1.4243 4.2384 2.6859
Mn 2.9027 3.3318 7.4351
Cr -0.0207 1.7332 2.6937
Cr 1.4491 0.8366 7.4493
Cr 4.3398 0.8202 7.4668
Fe -0.0354 3.4018 0.0713
Fe 2.8970 1.6494 4.8160
O -1.3366 2.7027 1.5272
O -0.1066 1.6108 8.5212
O -1.5585 4.1956 8.5324
O 1.4169 0.7867 3.7826
O -0.0206 3.4545 3.6977
O -0.0152 4.9287 1.5514
O 1.3029 2.7041 1.5187
O 1.6259 2.4600 6.2609
O 2.9531 0.1823 6.3045
O 2.9004 1.7215 8.4789
O 1.4475 4.2415 8.4894
O 4.3957 0.7931 3.7786
O 2.9127 3.4390 3.7367
O 4.2077 2.4283 6.3126
O 2.8862 5.0128 6.5303
O 2.9124 5.0546 1.7782
```

Top 6 peaks for 15 to 90 degrees two-theta, sorted by position:
(0 0 2), 18.66°, I = 87
(0 1 -1), 19.78°, I = 100
(1 0 1), 19.87°, I = 42
(1 1 2), 36.07°, I = 40
(0 2 1), 36.66°, I = 48
(4 -2 0), 63.43°, I = 57

Structure and computed X-ray powder pattern of Rb3FeO3 (a PBE+U-relaxed structure; Cu Kα (weighted mean of Kα1 and Kα2)).
Lines closer than 0.1° are merged.

Crystal structure
```
28
Lattice="6.8495 0.0000 0.0000 0.0000 14.8876 0.0000 -3.2047 0.0000 5.8500" Properties=species:S:1:pos:R:3 pbc="T T T"
Rb -0.8049 1.3523 1.8268
Rb -2.4073 6.0915 4.7518
Rb 0.5093 3.3927 4.6413
Rb 2.1116 4.0511 1.7163
Rb 2.4929 0.2254 1.3180
Rb 0.8905 7.2184 4.2429
Rb 2.7542 7.6692 1.6070
Rb 1.1518 14.6622 4.5320
Rb 1.5331 10.8366 4.1337
Rb 3.1355 11.4949 1.2087
Rb 6.0520 8.7961 1.0982
Rb 4.4497 13.5353 4.0231
Fe -1.9478 10.0591 4.4582
Fe -0.3455 12.2723 1.5332
Fe 3.9902 2.6153 4.3168
Fe 5.5926 4.8285 1.3918
O -1.2547 11.0548 2.8634
O -2.8571 11.2766 5.7884
O -1.5301 1.3409 4.7883
O 0.0722 6.1029 1.8633
O -0.4526 9.3073 5.3299
O 1.1498 13.0241 2.4049
O 2.4949 1.8635 3.4451
O 4.0973 5.5803 0.5201
O 3.5725 8.7848 3.9867
O 5.1749 13.5467 1.0617
O 6.5018 3.6110 0.0616
O 4.8994 3.8328 2.9866
```

Top 6 peaks for 15 to 90 degrees two-theta, sorted by position:
(1 4 0), 28.21°, I = 100
(0 4 1), 28.42°, I = 85
(2 0 0), 29.74°, I = 80
(0 0 2), 30.56°, I = 72
(2 0 -2), 30.76°, I = 48
(1 4 -2), 36.17°, I = 71